This entry pairs a crystal structure of Nd5Tl2Hg2 with its calculated powder diffraction line list. Radiation: λ = 1.5418 Å (Cu Kα). Structure: a cell relaxed with PBE.
Neutral-atom scattering factors, no anomalous dispersion.

Structure:
abc: 9.5418 9.5418 7.5659
angles: 90.00 90.00 55.10
Sites, in units of the cell vectors:
Nd 0.0000 0.0000 0.0000
Nd 0.0456 0.6744 0.6586
Nd 0.1744 0.5456 0.1586
Nd 0.3256 0.9544 0.6586
Nd 0.4544 0.8256 0.1586
Nd 0.5000 0.5000 0.5000
Nd 0.5456 0.1744 0.8414
Nd 0.6744 0.0456 0.3414
Nd 0.8256 0.4544 0.8414
Nd 0.9544 0.3256 0.3414
Tl 0.2093 0.2093 0.0000
Tl 0.2907 0.2907 0.5000
Tl 0.7093 0.7093 0.5000
Tl 0.7907 0.7907 0.0000
Hg 0.1396 0.8604 0.3807
Hg 0.3604 0.6396 0.8807
Hg 0.6396 0.3604 0.1193
Hg 0.8604 0.1396 0.6193

Top 12 peaks for 15 to 90 degrees two-theta, in order of rising 2θ:
2θ/deg, I/Imax
25.63, 31
29.24, 43
30.20, 100
30.66, 25
31.14, 42
31.59, 59
31.73, 59
33.09, 70
37.47, 32
40.49, 29
42.40, 48
61.81, 25